1.
Theoretical powder diffractogram of LaYB3 for Cu Kα (λ = 1.5418 Å), from the PBE geometry in Alexandria.

Crystal structure
Lattice parameters (Å, degrees): 4.614 4.614 4.614 90.00 90.00 90.00
Space group Pm-3m (No. 221)
One atom of each set of equivalent atoms:
La (0.000, 0.000, 0.000) [1 per cell]
Y (0.500, 0.500, 0.500) [1 per cell]
B (0.000, 0.500, 0.500) [3 per cell]

Largest 12 diffraction maxima, low angle first, 2θ = 10–90°:
| d [Å] | I/Imax | index |
| --- | --- | --- |
| 4.614 | 2.9 | 1 0 0 |
| 3.263 | 100.0 | 1 1 0 |
| 2.664 | 4.0 | 1 1 1 |
| 2.307 | 25.1 | 2 0 0 |
| 2.063 | 1.8 | 2 1 0 |
| 1.884 | 41.9 | 2 1 1 |
| 1.631 | 16.5 | 2 2 0 |
| 1.459 | 18.0 | 3 1 0 |
| 1.391 | 1.5 | 3 1 1 |
| 1.332 | 5.5 | 2 2 2 |
| 1.233 | 20.4 | 3 2 1 |
| 1.153 | 2.6 | 4 0 0 |

***

2.
Theoretical powder diffractogram of La2ZnB2 for Cu Kα (λ = 1.5418 Å), from the PBE geometry in Alexandria.

Crystal structure
Lattice parameters (Å, degrees): 7.243 7.243 3.818 90.00 90.00 90.00
Space group P4/mbm (No. 127)
One atom of each set of equivalent atoms:
La (0.198, 0.302, 0.000) [4 per cell]
Zn (0.000, 0.000, 0.500) [2 per cell]
B (0.078, 0.578, 0.500) [4 per cell]

Largest 12 diffraction maxima, low angle first, 2θ = 10–90°:
| d [Å] | I/Imax | index |
| --- | --- | --- |
| 3.818 | 25.0 | 0 0 1 |
| 3.621 | 23.9 | 2 0 0 |
| 3.239 | 45.0 | 2 1 0 |
| 2.627 | 100.0 | 2 0 1 |
| 2.561 | 32.5 | 2 2 0 |
| 2.470 | 51.1 | 2 1 1 |
| 2.290 | 15.7 | 3 1 0 |
| 1.909 | 14.2 | 0 0 2 |
| 1.757 | 22.2 | 4 1 0 |
| 1.596 | 29.5 | 4 1 1 |
| 1.558 | 15.3 | 3 3 1 |
| 1.293 | 15.9 | 4 1 2 |